Structure and calculated X-ray diffraction stick pattern of CdAgO2 (the GGA-PBE geometry in the Materials Project; λ = 1.5418 Å (Cu Kα)).
Peak positions follow from Bragg's law for the DFT cell and can differ from measured ones.

abc: 6.902 4.535 3.476
angles: 90.00 90.00 90.00
Positions (direct):
Cd 0.250 0.000 0.010
Cd 0.750 0.000 0.990
Ag 0.000 0.500 0.500
Ag 0.500 0.500 0.500
O 0.000 0.000 0.500
O 0.250 0.500 0.866
O 0.500 0.000 0.500
O 0.750 0.500 0.134

Principal peaks in the range 10 to 90 degrees two-theta, by angle:
| 2θ/deg | d (Å) | I (rel.) | h k l |
| --- | --- | --- | --- |
| 32.46 | 2.759 | 86 | 0 1 1 |
| 32.61 | 2.746 | 80 | 2 1 0 |
| 36.70 | 2.449 | 100 | 2 0 1 |
| 39.75 | 2.268 | 41 | 0 2 0 |
| 55.21 | 1.664 | 57 | 2 2 1 |
| 63.33 | 1.469 | 27 | 2 1 2 |